Calculated powder XRD pattern of Zn3Cr2Si4O14 for CuKα, from a structure optimized by DFT (PBE+U).
Lines closer than 0.1° are merged.

Atomic structure:
Cell: 9.015 9.015 9.957 Å, 118.25 118.25 50.81°
Element x y z (fractional)
Zn: 0.102 0.898 0.750
Zn: 0.218 0.445 0.599
Zn: 0.445 0.218 0.099
Zn: 0.555 0.782 0.901
Zn: 0.782 0.555 0.401
Zn: 0.898 0.102 0.250
Cr: 0.297 0.703 0.250
Cr: 0.500 0.500 0.000
Cr: 0.500 0.500 0.500
Cr: 0.703 0.297 0.750
Si: 0.028 0.613 0.296
Si: 0.028 0.727 0.905
Si: 0.273 0.972 0.595
Si: 0.387 0.972 0.204
Si: 0.613 0.028 0.796
Si: 0.727 0.028 0.405
Si: 0.972 0.273 0.095
Si: 0.972 0.387 0.704
O: 0.007 0.403 0.566
O: 0.007 0.544 0.869
O: 0.035 0.847 0.090
O: 0.139 0.159 0.722
O: 0.153 0.965 0.410
O: 0.159 0.139 0.222
O: 0.214 0.656 0.843
O: 0.245 0.572 0.331
O: 0.344 0.786 0.657
O: 0.380 0.457 0.085
O: 0.403 0.007 0.066
O: 0.428 0.755 0.169
O: 0.456 0.993 0.631
O: 0.457 0.380 0.585
O: 0.543 0.620 0.415
O: 0.544 0.007 0.369
O: 0.572 0.245 0.831
O: 0.597 0.993 0.934
O: 0.620 0.543 0.915
O: 0.656 0.214 0.343
O: 0.755 0.428 0.669
O: 0.786 0.344 0.157
O: 0.841 0.861 0.778
O: 0.847 0.035 0.590
O: 0.861 0.841 0.278
O: 0.965 0.153 0.910
O: 0.993 0.456 0.131
O: 0.993 0.597 0.434

The 8 most intense peaks (2θ = 15–90°), low angle first:
Position (°2θ)	I_rel
27.54	96
29.42	28
30.06	82
30.89	100
36.28	24
38.06	35
39.64	27
42.27	26